Simulated powder diffractogram of Rb3I2O2 for Cu Ka, from the GGA-PBE geometry in Alexandria.
Peak positions follow from Bragg's law for the DFT cell and can differ from measured ones.

Peak list (10 most intense, 10 to 90 degrees two-theta, in order of rising 2θ)
| 2theta | I/Imax |
| --- | --- |
| 24.1 | 100 |
| 25.8 | 45 |
| 28.1 | 21 |
| 29.7 | 16 |
| 32.4 | 29 |
| 35.6 | 60 |
| 36.2 | 18 |
| 41.9 | 24 |
| 45.0 | 16 |
| 56.6 | 17 |

Crystal structure
```
Rb3I2O2
1.0
-2.4782 2.7638 10.3588
2.4782 -2.7638 10.3588
2.4782 2.7638 -10.3588
Rb I O
3 2 2
Cartesian
0.0000 0.0000 0.0000
0.0000 0.0000 7.2862
0.0000 0.0000 13.4315
0.0000 0.0000 3.5437
0.0000 0.0000 17.1740
0.6798 2.7638 0.0000
1.7984 0.0000 10.3588
```